This entry pairs a crystal structure of Cs2TiCl4 with its theoretical powder diffraction line list. Radiation: copper Kα. Structure: a DFT-relaxed cell (PBE, Alexandria).
Intensities are scaled so that the largest is 100.

Largest 8 diffraction maxima, in order of rising 2θ, 15° ≤ 2θ ≤ 90°:
| 2θ/deg | Rel. int. |
| --- | --- |
| 15.7 | 40 |
| 16.2 | 38 |
| 24.8 | 66 |
| 25.2 | 63 |
| 29.8 | 100 |
| 31.6 | 33 |
| 32.7 | 30 |
| 40.9 | 29 |

Structure:
a b c (Å): 7.875 7.311 7.177
angles (deg): 65.85 57.90 56.26
Fractional positions:
Cs (0.250, 0.250, 0.250)
Cs (0.750, 0.750, 0.750)
Ti (0.000, 0.000, 0.000)
Cl (0.217, 0.217, 0.783)
Cl (0.219, 0.781, 0.219)
Cl (0.781, 0.219, 0.781)
Cl (0.783, 0.783, 0.217)